Ca2CrO5: simulated powder diffraction line list (Cu Kα X-rays), based on the GGA+U geometry in the Materials Project.
No peak broadening, texture or thermal motion is included.

The 8 most intense peaks (5 to 70 degrees two-theta), by intensity:
2θ 32.98, d 2.716, intensity 100, (4 1 1)
2θ 26.04, d 3.422, intensity 95, (2 1 1)
2θ 11.45, d 7.729, intensity 93, (2 0 0)
2θ 47.65, d 1.909, intensity 32, (0 2 2)
2θ 32.33, d 2.769, intensity 24, (0 0 2)
2θ 48.26, d 1.886, intensity 23, (6 0 2)
2θ 17.79, d 4.987, intensity 22, (1 1 0)
2θ 58.08, d 1.588, intensity 21, (4 1 3)

```
data_Ca2CrO5
_cell_length_a 15.4576
_cell_length_b 5.2687
_cell_length_c 5.5379
_cell_angle_alpha 90.00
_cell_angle_beta 90.00
_cell_angle_gamma 90.00
_symmetry_space_group_name_H-M 'I m a 2'
_symmetry_Int_Tables_number 46
loop_
_symmetry_equiv_pos_as_xyz
'x,y,z'
'-x,-y,z'
'-x+1/2,y,z'
'x+1/2,-y,z'
'x+1/2,y+1/2,z+1/2'
'-x+1/2,-y+1/2,z+1/2'
'-x,y+1/2,z+1/2'
'x,-y+1/2,z+1/2'
loop_
_atom_site_label
_atom_site_fract_x
_atom_site_fract_y
_atom_site_fract_z
Ca1 0.1426 0.0524 0.0000
Cr1 0.0000 0.0000 0.4985
O1 0.0410 0.2126 0.2941
O2 0.0994 0.6255 0.0925
O3 0.2500 0.2296 0.2588
```

---

CaCr2O4: simulated powder diffraction line list (Cu Kα X-rays), based on the GGA+U geometry in the Materials Project.
No peak broadening, texture or thermal motion is included.

The 8 most intense peaks (5 to 70 degrees two-theta), by intensity:
2θ 33.65, d 2.664, intensity 100, (1 1 3)
2θ 40.80, d 2.212, intensity 63, (2 0 4)
2θ 33.85, d 2.648, intensity 60, (2 0 1)
2θ 33.24, d 2.696, intensity 59, (1 0 5)
2θ 59.60, d 1.551, intensity 54, (2 2 0)
2θ 58.53, d 1.577, intensity 51, (0 2 8)
2θ 53.88, d 1.702, intensity 36, (2 1 5)
2θ 28.30, d 3.154, intensity 36, (0 1 4)

```
data_CaCr2O4
_cell_length_a 6.2053
_cell_length_b 6.2053
_cell_length_c 15.5805
_cell_angle_alpha 90.00
_cell_angle_beta 90.00
_cell_angle_gamma 120.00
_symmetry_space_group_name_H-M 'P 3 m 1'
_symmetry_Int_Tables_number 156
loop_
_symmetry_equiv_pos_as_xyz
'x,y,z'
'-y,x-y,z'
'-x+y,-x,z'
'-y,-x,z'
'-x+y,y,z'
'x,x-y,z'
loop_
_atom_site_label
_atom_site_fract_x
_atom_site_fract_y
_atom_site_fract_z
Ca1 0.0000 0.0000 0.0000
Ca2 0.0000 0.0000 0.2423
Ca3 0.0000 0.0000 0.6227
Ca4 0.3333 0.6667 0.5765
Ca5 0.6667 0.3333 0.2818
Ca6 0.6667 0.3333 0.9104
Cr1 0.1708 0.3417 0.7920
Cr2 0.3272 0.1636 0.4545
Cr3 0.3333 0.6667 0.3376
Cr4 0.3333 0.6667 0.9563
Cr5 0.5003 0.0005 0.1169
Cr6 0.6667 0.3333 0.6726
O1 0.0000 0.0000 0.3879
O2 0.0000 0.0000 0.8518
O3 0.0521 0.5260 0.8659
O4 0.1487 0.2975 0.5221
O5 0.1934 0.3868 0.0405
O6 0.3333 0.6667 0.1958
O7 0.3333 0.6667 0.7250
O8 0.3346 0.1673 0.7199
O9 0.3618 0.1809 0.1819
O10 0.5031 0.0062 0.3821
O11 0.6667 0.3333 0.0503
O12 0.6667 0.3333 0.5281
```

---

Ca3Cr2O7: simulated powder diffraction line list (Cu Kα X-rays), based on the GGA+U geometry in the Materials Project.
No peak broadening, texture or thermal motion is included.

The 8 most intense peaks (5 to 70 degrees two-theta), by intensity:
2θ 32.96, d 2.718, intensity 100, (5 1 1)
2θ 47.53, d 1.913, intensity 50, (0 2 2)
2θ 33.16, d 2.702, intensity 38, (0 2 0)
2θ 33.06, d 2.710, intensity 37, (0 0 2)
2θ 47.07, d 1.931, intensity 24, (10 0 0)
2θ 59.11, d 1.563, intensity 24, (5 3 1)
2θ 58.76, d 1.571, intensity 22, (10 2 0)
2θ 18.38, d 4.826, intensity 20, (4 0 0)

```
data_Ca3Cr2O7
_cell_length_a 19.3049
_cell_length_b 5.4033
_cell_length_c 5.4193
_cell_angle_alpha 90.00
_cell_angle_beta 90.00
_cell_angle_gamma 90.00
_symmetry_space_group_name_H-M 'C m c 21'
_symmetry_Int_Tables_number 36
loop_
_symmetry_equiv_pos_as_xyz
'x,y,z'
'-x,-y,z+1/2'
'-x,y,z'
'x,-y,z+1/2'
'x+1/2,y+1/2,z'
'-x+1/2,-y+1/2,z+1/2'
'-x+1/2,y+1/2,z'
'x+1/2,-y+1/2,z+1/2'
loop_
_atom_site_label
_atom_site_fract_x
_atom_site_fract_y
_atom_site_fract_z
Ca1 0.0000 0.2436 0.0000
Ca2 0.1859 0.2415 0.0756
Cr1 0.0987 0.2513 0.5407
O1 0.0000 0.3167 0.5542
O2 0.0840 0.0462 0.2556
O3 0.1106 0.4550 0.8248
O4 0.1963 0.1945 0.5239
```

---

CaCr3O7: simulated powder diffraction line list (Cu Kα X-rays), based on the GGA+U geometry in the Materials Project.
No peak broadening, texture or thermal motion is included.

The 8 most intense peaks (5 to 70 degrees two-theta), by intensity:
2θ 16.47, d 5.382, intensity 100, (2 0 0)
2θ 28.95, d 3.084, intensity 92, (2 2 1)
2θ 24.87, d 3.580, intensity 37, (2 1 1)
2θ 33.27, d 2.693, intensity 30, (0 0 2)
2θ 51.47, d 1.776, intensity 27, (2 4 2)
2θ 49.16, d 1.853, intensity 24, (1 4 2)
2θ 56.85, d 1.619, intensity 23, (6 2 1)
2θ 30.43, d 2.938, intensity 23, (0 3 1)

```
data_CaCr3O7
_cell_length_a 10.7640
_cell_length_b 10.5122
_cell_length_c 5.3886
_cell_angle_alpha 90.00
_cell_angle_beta 90.00
_cell_angle_gamma 90.00
_symmetry_space_group_name_H-M 'P n m a'
_symmetry_Int_Tables_number 62
loop_
_symmetry_equiv_pos_as_xyz
'x,y,z'
'-x,-y,-z'
'-x+1/2,-y,z+1/2'
'x+1/2,y,-z+1/2'
'x+1/2,-y+1/2,-z+1/2'
'-x+1/2,y+1/2,z+1/2'
'-x,y+1/2,-z'
'x,-y+1/2,z'
loop_
_atom_site_label
_atom_site_fract_x
_atom_site_fract_y
_atom_site_fract_z
Ca1 0.0696 0.2500 0.1810
Cr1 0.1967 0.5200 0.6957
Cr2 0.2231 0.7500 0.1895
O1 0.0521 0.5768 0.7202
O2 0.0648 0.7500 0.1630
O3 0.2173 0.1201 0.4563
O4 0.2230 0.1167 0.9338
```

---

Ca2CrO4: simulated powder diffraction line list (Cu Kα X-rays), based on the GGA+U geometry in the Materials Project.
No peak broadening, texture or thermal motion is included.

The 8 most intense peaks (5 to 70 degrees two-theta), by intensity:
2θ 31.99, d 2.798, intensity 100, (0 1 3)
2θ 32.13, d 2.786, intensity 77, (4 1 1)
2θ 31.71, d 2.822, intensity 35, (0 2 0)
2θ 30.71, d 2.911, intensity 31, (4 1 0)
2θ 38.51, d 2.338, intensity 29, (4 0 3)
2θ 45.82, d 1.980, intensity 27, (4 2 2)
2θ 50.71, d 1.800, intensity 20, (4 2 3)
2θ 22.45, d 3.961, intensity 19, (2 1 1)

```
data_Ca2CrO4
_cell_length_a 13.5943
_cell_length_b 5.6444
_cell_length_c 9.6632
_cell_angle_alpha 90.00
_cell_angle_beta 90.00
_cell_angle_gamma 90.00
_symmetry_space_group_name_H-M 'P n a 21'
_symmetry_Int_Tables_number 33
loop_
_symmetry_equiv_pos_as_xyz
'x,y,z'
'-x,-y,z+1/2'
'-x+1/2,y+1/2,z+1/2'
'x+1/2,-y+1/2,z'
loop_
_atom_site_label
_atom_site_fract_x
_atom_site_fract_y
_atom_site_fract_z
Ca1 0.0489 0.2199 0.0000
Ca2 0.1207 0.1854 0.6457
Ca3 0.1283 0.7267 0.2234
Ca4 0.2023 0.6813 0.8730
Cr1 0.0297 0.2764 0.3554
Cr2 0.2264 0.6766 0.5118
O1 0.0170 0.0578 0.2255
O2 0.0269 0.4565 0.7873
O3 0.0483 0.7857 0.0005
O4 0.1197 0.8529 0.4731
O5 0.1481 0.3700 0.4226
O6 0.1913 0.1137 0.8676
O7 0.1983 0.4424 0.0730
O8 0.2420 0.4931 0.6644
```

---

CaCr2O2: simulated powder diffraction line list (Cu Kα X-rays), based on the GGA+U geometry in the Materials Project.
No peak broadening, texture or thermal motion is included.

The 8 most intense peaks (5 to 70 degrees two-theta), by intensity:
2θ 35.91, d 2.501, intensity 100, (2 2 0)
2θ 48.25, d 1.886, intensity 39, (2 1 5)
2θ 40.45, d 2.230, intensity 33, (1 0 5)
2θ 51.69, d 1.768, intensity 28, (4 0 0)
2θ 36.51, d 2.461, intensity 22, (2 1 3)
2θ 55.19, d 1.664, intensity 15, (3 0 5)
2θ 61.58, d 1.506, intensity 13, (3 2 5)
2θ 44.87, d 2.020, intensity 12, (3 0 3)

```
data_CaCr2O2
_cell_length_a 7.0732
_cell_length_b 7.0732
_cell_length_c 11.7488
_cell_angle_alpha 90.00
_cell_angle_beta 90.00
_cell_angle_gamma 90.00
_symmetry_space_group_name_H-M 'I 41/a m d'
_symmetry_Int_Tables_number 141
loop_
_symmetry_equiv_pos_as_xyz
'x,y,z'
'-x,-y,-z'
'-y+1/4,x+3/4,z+1/4'
'y+1/4,-x+3/4,-z+1/4'
'-x+1/2,-y,z+1/2'
'x+1/2,y,-z+1/2'
'y+1/4,-x+1/4,z+3/4'
'-y+1/4,x+1/4,-z+3/4'
'x,-y,-z'
'-x,y,z'
'-y+1/4,-x+1/4,-z+3/4'
'y+1/4,x+1/4,z+3/4'
'-x+1/2,y,-z+1/2'
'x+1/2,-y,z+1/2'
'y+1/4,x+3/4,-z+1/4'
'-y+1/4,-x+3/4,z+1/4'
'x+1/2,y+1/2,z+1/2'
'-x+1/2,-y+1/2,-z+1/2'
'-y+3/4,x+1/4,z+3/4'
'y+3/4,-x+1/4,-z+3/4'
'-x,-y+1/2,z'
'x,y+1/2,-z'
'y+3/4,-x+3/4,z+1/4'
'-y+3/4,x+3/4,-z+1/4'
'x+1/2,-y+1/2,-z+1/2'
'-x+1/2,y+1/2,z+1/2'
'-y+3/4,-x+3/4,-z+1/4'
'y+3/4,x+3/4,z+1/4'
'-x,y+1/2,-z'
'x,-y+1/2,z'
'y+3/4,x+1/4,-z+3/4'
'-y+3/4,-x+1/4,z+3/4'
loop_
_atom_site_label
_atom_site_fract_x
_atom_site_fract_y
_atom_site_fract_z
Ca1 0.0000 0.0000 0.0000
Cr1 0.0000 0.0299 0.6089
O1 0.0000 0.0036 0.2102
```

---

CaCrO2: simulated powder diffraction line list (Cu Kα X-rays), based on the GGA+U geometry in the Materials Project.
No peak broadening, texture or thermal motion is included.

The 8 most intense peaks (5 to 70 degrees two-theta), by intensity:
2θ 40.89, d 2.207, intensity 100, (2 1 -2)
2θ 32.10, d 2.788, intensity 78, (2 0 2)
2θ 32.96, d 2.718, intensity 49, (1 1 1)
2θ 53.46, d 1.714, intensity 37, (4 1 0)
2θ 32.41, d 2.762, intensity 27, (1 0 -3)
2θ 24.79, d 3.591, intensity 24, (1 0 2)
2θ 33.21, d 2.697, intensity 23, (3 0 -1)
2θ 52.36, d 1.747, intensity 23, (0 1 4)

```
data_CaCrO2
_cell_length_a 8.2693
_cell_length_b 3.1122
_cell_length_c 8.5021
_cell_angle_alpha 90.00
_cell_angle_beta 96.61
_cell_angle_gamma 90.00
_symmetry_space_group_name_H-M 'P 1 21/m 1'
_symmetry_Int_Tables_number 11
loop_
_symmetry_equiv_pos_as_xyz
'x,y,z'
'-x,-y,-z'
'-x,y+1/2,-z'
'x,-y+1/2,z'
loop_
_atom_site_label
_atom_site_fract_x
_atom_site_fract_y
_atom_site_fract_z
Ca1 0.0738 0.2500 0.1804
Ca2 0.1861 0.7500 0.5412
Cr1 0.2856 0.2500 0.8951
Cr2 0.4440 0.7500 0.2978
O1 0.0384 0.2500 0.6653
O2 0.1747 0.7500 0.0045
O3 0.3086 0.2500 0.3755
O4 0.3970 0.7500 0.7672
```

---

CaCr2O4: simulated powder diffraction line list (Cu Kα X-rays), based on the GGA+U geometry in the Materials Project.
No peak broadening, texture or thermal motion is included.

The 8 most intense peaks (5 to 70 degrees two-theta), by intensity:
2θ 33.62, d 2.666, intensity 100, (3 0 2)
2θ 35.32, d 2.541, intensity 69, (1 1 2)
2θ 33.23, d 2.696, intensity 51, (0 0 4)
2θ 49.35, d 1.847, intensity 51, (2 1 4)
2θ 61.11, d 1.516, intensity 48, (0 2 0)
2θ 40.10, d 2.248, intensity 42, (1 1 3)
2θ 35.44, d 2.533, intensity 33, (2 1 0)
2θ 42.75, d 2.115, intensity 30, (4 0 2)

```
data_CaCr2O4
_cell_length_a 9.1997
_cell_length_b 3.0340
_cell_length_c 10.7853
_cell_angle_alpha 90.00
_cell_angle_beta 90.00
_cell_angle_gamma 90.00
_symmetry_space_group_name_H-M 'P n m a'
_symmetry_Int_Tables_number 62
loop_
_symmetry_equiv_pos_as_xyz
'x,y,z'
'-x,-y,-z'
'-x+1/2,-y,z+1/2'
'x+1/2,y,-z+1/2'
'x+1/2,-y+1/2,-z+1/2'
'-x+1/2,y+1/2,z+1/2'
'-x,y+1/2,-z'
'x,-y+1/2,z'
loop_
_atom_site_label
_atom_site_fract_x
_atom_site_fract_y
_atom_site_fract_z
Ca1 0.2402 0.2500 0.1591
Cr1 0.0596 0.2500 0.3868
Cr2 0.0842 0.2500 0.8991
O1 0.0287 0.7500 0.7856
O2 0.0821 0.2500 0.5735
O3 0.1177 0.7500 0.0249
O4 0.2015 0.7500 0.3377
```